No. 1
Sn4BiPb6: computed XRD peak list (Cu Ka), based on a PBE-relaxed structure.
No peak broadening, texture or thermal motion is included.

Structure:
Lattice parameters (Å, degrees): 7.942 7.942 12.190 90.00 90.00 90.00
Space group I-42m (No. 121)
Unique sites:
Sn 0.244 0.244 0.370 x8
Bi 0.000 0.000 0.500 x2
Pb 0.000 0.500 0.000 x4
Pb 0.150 0.150 0.128 x8

Largest 8 diffraction maxima, by angle, 15 to 90 degrees two-theta:
24.61 deg, I 48, hkl 1 0 3
26.13 deg, I 87, hkl 2 1 1
26.80 deg, I 55, hkl 2 0 2
31.87 deg, I 57, hkl 2 2 0
33.49 deg, I 47, hkl 1 1 4
35.19 deg, I 57, hkl 2 2 2
37.19 deg, I 100, hkl 2 0 4
38.78 deg, I 51, hkl 3 1 2


No. 2
SnBi6Pb12: computed XRD peak list (Cu Ka), based on a PBE-relaxed structure.
No peak broadening, texture or thermal motion is included.

Structure:
Lattice parameters (Å, degrees): 12.2113 12.2113 14.3974 90.00 90.00 120.00
Space group R-3 (No. 148, hexagonal axes)
Unique sites:
Sn 0.0000 0.0000 0.0000 x3
Bi 0.0223 0.5856 0.7139 x18
Pb 0.0357 0.8452 0.8163 x18
Pb 0.0633 0.2125 0.4081 x18

Largest 8 diffraction maxima, by angle, 15 to 90 degrees two-theta:
31.12 deg, I 100, hkl 4 -3 1
31.49 deg, I 39, hkl 0 3 3
32.22 deg, I 35, hkl 0 1 5
32.98 deg, I 50, hkl 3 1 2
33.50 deg, I 54, hkl 2 1 4
34.83 deg, I 15, hkl 4 -2 3
56.02 deg, I 14, hkl 4 2 5
57.73 deg, I 17, hkl 7 -2 3


No. 3
Sn3BiPb3: computed XRD peak list (Cu Ka), based on a PBE-relaxed structure.
No peak broadening, texture or thermal motion is included.

Structure:
Lattice parameters (Å, degrees): 9.2686 9.2686 17.0953 90.00 90.00 120.00
Space group R-3 (No. 148, hexagonal axes)
Unique sites:
Sn 0.0461 0.8175 0.4165 x18
Bi 0.0000 0.0000 0.2506 x6
Pb 0.0463 0.8002 0.9171 x18

Largest 8 diffraction maxima, by angle, 15 to 90 degrees two-theta:
31.29 deg, I 100, hkl 1 2 2
31.40 deg, I 33, hkl 0 0 6
36.31 deg, I 68, hkl 3 -1 4
52.22 deg, I 24, hkl 4 1 0
52.37 deg, I 24, hkl 1 2 8
62.19 deg, I 43, hkl 4 1 6
62.34 deg, I 15, hkl 3 -1 10
65.27 deg, I 12, hkl 2 4 4


No. 4
Sr3Sn3Bi2Pb: computed XRD peak list (Cu Ka), based on a PBE-relaxed structure.
No peak broadening, texture or thermal motion is included.

Structure:
Lattice parameters (Å, degrees): 8.6245 8.6245 4.7731 90.00 90.00 120.00
Space group P-62m (No. 189)
Unique sites:
Sr 0.0000 0.5961 0.0000 x3
Sn 0.0000 0.2536 0.5000 x3
Bi 0.3333 0.6667 0.5000 x2
Pb 0.0000 0.0000 0.0000 x1

Largest 8 diffraction maxima, by angle, 15 to 90 degrees two-theta:
20.60 deg, I 39, hkl 1 1 0
27.88 deg, I 60, hkl 1 1 1
30.39 deg, I 100, hkl 2 0 1
36.08 deg, I 54, hkl 3 0 0
37.00 deg, I 69, hkl 2 1 1
37.69 deg, I 31, hkl 0 0 2
53.16 deg, I 36, hkl 3 0 2
57.11 deg, I 39, hkl 3 2 1


No. 5
SrSnBiPb2: computed XRD peak list (Cu Ka), based on a PBE-relaxed structure.
No peak broadening, texture or thermal motion is included.

Structure:
Lattice parameters (Å, degrees): 6.853 15.356 6.727 90.00 90.00 90.00
Space group Cmcm (No. 63)
Unique sites:
Sr 0.000 0.244 0.250 x4
Sn 0.000 0.136 0.750 x4
Bi 0.000 0.331 0.750 x4
Pb 0.246 0.500 0.000 x8

Largest 8 diffraction maxima, by angle, 15 to 90 degrees two-theta:
19.37 deg, I 43, hkl 1 1 1
28.53 deg, I 100, hkl 2 2 0
28.98 deg, I 96, hkl 0 2 2
34.67 deg, I 43, hkl 1 5 1
35.09 deg, I 69, hkl 0 6 0
35.48 deg, I 42, hkl 0 4 2
37.47 deg, I 87, hkl 2 0 2
52.25 deg, I 48, hkl 2 6 2


No. 6
SrSnBiPb: computed XRD peak list (Cu Ka), based on a PBE-relaxed structure.
No peak broadening, texture or thermal motion is included.

Structure:
Lattice parameters (Å, degrees): 4.881 4.961 5.193 90.00 90.00 90.00
Space group Pmmm (No. 47)
Unique sites:
Sr 0.000 0.000 0.000 x1
Sn 0.500 0.000 0.500 x1
Bi 0.500 0.500 0.000 x1
Pb 0.000 0.500 0.500 x1

Largest 8 diffraction maxima, by angle, 15 to 90 degrees two-theta:
30.94 deg, I 100, hkl 1 1 1
34.54 deg, I 19, hkl 0 0 2
36.21 deg, I 17, hkl 0 2 0
36.83 deg, I 16, hkl 2 0 0
59.66 deg, I 16, hkl 1 1 3
61.88 deg, I 14, hkl 1 3 1
62.70 deg, I 14, hkl 3 1 1
64.47 deg, I 13, hkl 2 2 2


No. 7
Sr2Bi3Pb2: computed XRD peak list (Cu Ka), based on a PBE-relaxed structure.
No peak broadening, texture or thermal motion is included.

Structure:
Lattice parameters (Å, degrees): 9.521 5.487 10.613 90.00 107.35 90.00
Space group C2/m (No. 12)
Unique sites:
Sr 0.121 0.000 0.361 x4
Bi 0.000 0.500 0.500 x2
Bi 0.232 0.500 0.193 x4
Pb 0.125 0.500 0.871 x4

Largest 8 diffraction maxima, by angle, 15 to 90 degrees two-theta:
18.89 deg, I 44, hkl 2 0 -1
26.39 deg, I 20, hkl 0 0 3
30.11 deg, I 88, hkl 2 0 2
32.61 deg, I 100, hkl 0 2 0
42.43 deg, I 36, hkl 3 1 -4
44.97 deg, I 30, hkl 2 2 2
56.62 deg, I 21, hkl 5 1 1
58.19 deg, I 20, hkl 6 0 -2


No. 8
Sr4Bi7Pb4: computed XRD peak list (Cu Ka), based on a PBE-relaxed structure.
No peak broadening, texture or thermal motion is included.

Structure:
Lattice parameters (Å, degrees): 17.589 17.589 6.900 90.00 90.00 90.00
Space group I4/mmm (No. 139)
Unique sites:
Sr 0.000 0.185 0.000 x8
Sr 0.135 0.135 0.500 x8
Bi 0.000 0.000 0.244 x4
Bi 0.000 0.271 0.500 x8
Bi 0.000 0.414 0.000 x8
Bi 0.197 0.197 0.000 x8
Pb 0.148 0.352 0.250 x16

Largest 8 diffraction maxima, by angle, 15 to 90 degrees two-theta:
28.48 deg, I 73, hkl 5 0 1
28.71 deg, I 23, hkl 4 4 0
30.49 deg, I 100, hkl 6 0 0
33.00 deg, I 25, hkl 4 0 2
33.80 deg, I 23, hkl 3 3 2
39.00 deg, I 37, hkl 7 3 0
47.21 deg, I 19, hkl 5 0 3
58.94 deg, I 22, hkl 10 0 2